# 1
Diffraction record for Ba2MgFe2CuF14. The X-ray powder pattern is computed, not measured: it uses a cell relaxed with GGA+U and a wavelength of 1.5418 Å.

Largest 10 diffraction maxima, sorted by position, 2θ = 15–90°:
two_theta  Rel. int.
24.10  27
25.30  100
26.84  20
27.59  23
27.80  25
28.31  26
30.02  27
30.37  22
41.02  19
50.16  19

Atomic structure:
a = 7.5669 Å, b = 7.5669 Å, c = 14.7807 Å
α = 91.81°, β = 91.81°, γ = 40.83°
Fractional coordinates of all 40 atoms:
Ba (0.1092, 0.2657, 0.1240)
Ba (0.2657, 0.1092, 0.6240)
Ba (0.7343, 0.8908, 0.3760)
Ba (0.8908, 0.7343, 0.8760)
Mg (0.4358, 0.5642, 0.2500)
Mg (0.5642, 0.4358, 0.7500)
Fe (0.0973, 0.1414, 0.3728)
Fe (0.1414, 0.0973, 0.8728)
Fe (0.8586, 0.9027, 0.1272)
Fe (0.9027, 0.8586, 0.6272)
Cu (0.5000, 0.5000, 0.0000)
Cu (0.5000, 0.5000, 0.5000)
F (0.0295, 0.6366, 0.2242)
F (0.1018, 0.8891, 0.3378)
F (0.1109, 0.8982, 0.1622)
F (0.1209, 0.7228, 0.5153)
F (0.1261, 0.5910, 0.0452)
F (0.1435, 0.3502, 0.4005)
F (0.2017, 0.5819, 0.7119)
F (0.2772, 0.8791, 0.9847)
F (0.3502, 0.1435, 0.9005)
F (0.3634, 0.9705, 0.2758)
F (0.3847, 0.5197, 0.8784)
F (0.4090, 0.8739, 0.4548)
F (0.4181, 0.7983, 0.7881)
F (0.4803, 0.6153, 0.6216)
F (0.5197, 0.3847, 0.3784)
F (0.5819, 0.2017, 0.2119)
F (0.5910, 0.1261, 0.5452)
F (0.6153, 0.4803, 0.1216)
F (0.6366, 0.0295, 0.7242)
F (0.6498, 0.8565, 0.0995)
F (0.7228, 0.1209, 0.0153)
F (0.7983, 0.4181, 0.2881)
F (0.8565, 0.6498, 0.5995)
F (0.8739, 0.4090, 0.9548)
F (0.8791, 0.2772, 0.4847)
F (0.8891, 0.1018, 0.8378)
F (0.8982, 0.1109, 0.6622)
F (0.9705, 0.3634, 0.7758)

# 2
Diffraction record for Ba2ZnFe2CuF14. The X-ray powder pattern is computed, not measured: it uses a cell relaxed with GGA+U and a wavelength of 1.5418 Å.

Largest 10 diffraction maxima, sorted by position, 2θ = 15–90°:
two_theta  Rel. int.
24.22  16
25.42  100
27.08  22
27.72  17
27.94  25
28.48  22
30.14  32
30.43  25
41.00  18
56.02  17

Atomic structure:
a = 7.4969 Å, b = 7.4969 Å, c = 14.7038 Å
α = 91.49°, β = 91.49°, γ = 41.35°
Fractional coordinates of all 40 atoms:
Ba (0.1109, 0.2635, 0.1242)
Ba (0.2635, 0.1109, 0.6242)
Ba (0.7365, 0.8891, 0.3758)
Ba (0.8891, 0.7365, 0.8758)
Zn (0.4287, 0.5713, 0.2500)
Zn (0.5713, 0.4287, 0.7500)
Fe (0.0936, 0.1425, 0.3735)
Fe (0.1425, 0.0936, 0.8735)
Fe (0.8575, 0.9064, 0.1265)
Fe (0.9064, 0.8575, 0.6265)
Cu (0.5000, 0.5000, 0.0000)
Cu (0.5000, 0.5000, 0.5000)
F (0.0359, 0.6380, 0.2238)
F (0.0934, 0.8905, 0.3391)
F (0.1095, 0.9066, 0.1609)
F (0.1198, 0.7179, 0.5148)
F (0.1327, 0.5905, 0.0436)
F (0.1518, 0.3520, 0.4020)
F (0.1974, 0.5768, 0.7117)
F (0.2821, 0.8802, 0.9852)
F (0.3520, 0.1518, 0.9020)
F (0.3620, 0.9641, 0.2762)
F (0.3900, 0.5168, 0.8775)
F (0.4095, 0.8673, 0.4564)
F (0.4232, 0.8026, 0.7883)
F (0.4832, 0.6100, 0.6225)
F (0.5168, 0.3900, 0.3775)
F (0.5768, 0.1974, 0.2117)
F (0.5905, 0.1327, 0.5436)
F (0.6100, 0.4832, 0.1225)
F (0.6380, 0.0359, 0.7238)
F (0.6480, 0.8482, 0.0980)
F (0.7179, 0.1198, 0.0148)
F (0.8026, 0.4232, 0.2883)
F (0.8482, 0.6480, 0.5980)
F (0.8673, 0.4095, 0.9564)
F (0.8802, 0.2821, 0.4852)
F (0.8905, 0.0934, 0.8391)
F (0.9066, 0.1095, 0.6609)
F (0.9641, 0.3620, 0.7762)

# 3
Diffraction record for Ba2MgCuMo2F14. The X-ray powder pattern is computed, not measured: it uses a cell relaxed with GGA+U and a wavelength of 1.5418 Å.

Largest 10 diffraction maxima, sorted by position, 2θ = 15–90°:
two_theta  Rel. int.
17.82  21
23.39  33
25.00  100
27.54  41
29.48  33
29.63  30
34.31  19
47.83  17
49.11  26
54.44  17

Atomic structure:
a = 5.3054 Å, b = 7.6763 Å, c = 15.2155 Å
α = 89.18°, β = 89.99°, γ = 69.88°
Fractional coordinates of all 40 atoms:
Ba (0.0000, 0.0000, 0.0000)
Ba (0.1782, 0.9990, 0.5002)
Ba (0.6350, 0.7274, 0.2525)
Ba (0.8139, 0.7275, 0.7526)
Mg (0.3453, 0.3632, 0.1262)
Mg (0.4684, 0.3648, 0.6265)
Cu (0.4065, 0.3635, 0.3764)
Cu (0.4076, 0.3636, 0.8761)
Mo (0.0004, 0.1258, 0.2498)
Mo (0.0510, 0.1255, 0.7496)
Mo (0.7634, 0.6018, 0.0029)
Mo (0.8128, 0.6007, 0.5030)
F (0.0207, 0.3852, 0.2097)
F (0.0274, 0.5213, 0.3834)
F (0.0406, 0.8527, 0.2802)
F (0.0445, 0.3426, 0.0424)
F (0.0446, 0.6550, 0.9194)
F (0.1210, 0.5776, 0.5968)
F (0.1854, 0.2061, 0.8691)
F (0.2747, 0.0163, 0.1486)
F (0.2834, 0.8523, 0.7796)
F (0.2838, 0.4414, 0.7578)
F (0.3340, 0.0732, 0.3335)
F (0.3361, 0.1501, 0.6559)
F (0.3612, 0.2867, 0.4950)
F (0.4516, 0.4405, 0.2578)
F (0.4785, 0.5770, 0.0967)
F (0.4791, 0.6531, 0.4193)
F (0.5303, 0.8748, 0.9729)
F (0.5309, 0.2862, 0.9945)
F (0.5385, 0.7084, 0.6044)
F (0.6296, 0.5212, 0.8833)
F (0.6918, 0.1498, 0.1558)
F (0.7694, 0.0729, 0.8332)
F (0.7704, 0.3847, 0.7102)
F (0.7705, 0.8746, 0.4734)
F (0.7858, 0.2062, 0.3693)
F (0.7934, 0.3409, 0.5429)
F (0.8868, 0.0150, 0.6485)
F (0.9272, 0.7120, 0.1043)